(1)
Diffraction record for PmCd8. The powder X-ray diffraction pattern is calculated, not measured: it uses a GGA-PBE-relaxed structure and Cu Ka.
Neutral-atom scattering factors, no anomalous dispersion.

Largest 10 diffraction maxima, by angle, 5 to 70 degrees two-theta:
| 2θ (°) | intensity |
| --- | --- |
| 26.47 | 8 |
| 34.19 | 1000 |
| 38.69 | 179 |
| 40.17 | 315 |
| 55.59 | 10 |
| 57.00 | 217 |
| 58.11 | 100 |
| 67.15 | 131 |
| 69.15 | 174 |
| 69.23 | 58 |

Atomic structure:
```
data_PmCd8
_chemical_formula_sum 'Pm1 Cd8'
_symmetry_space_group_name_H-M 'P 1'
_symmetry_Int_Tables_number 1
_symmetry_space_group_name_Hall 'P 1'
_cell_length_a 7.1237
_cell_length_b 7.1237
_cell_length_c 4.6543
_cell_angle_alpha 109.01
_cell_angle_beta 109.01
_cell_angle_gamma 83.99
loop_
_atom_site_label
_atom_site_type_symbol
_atom_site_fract_x
_atom_site_fract_y
_atom_site_fract_z
Pm1 Pm 0.0000 0.0000 0.0000
Cd1 Cd 0.0000 0.3455 0.6718
Cd2 Cd 0.0000 0.6545 0.3282
Cd3 Cd 0.3400 0.3400 0.3377
Cd4 Cd 0.3398 0.6602 0.0000
Cd5 Cd 0.3455 0.0000 0.6718
Cd6 Cd 0.6545 0.0000 0.3282
Cd7 Cd 0.6602 0.3398 0.0000
Cd8 Cd 0.6600 0.6600 0.6623
```

=====

(2)
Diffraction record for Pm5Cd. The powder X-ray diffraction pattern is calculated, not measured: it uses a GGA-PBE-relaxed structure and Cu Ka.
Neutral-atom scattering factors, no anomalous dispersion.

Largest 10 diffraction maxima, by angle, 5 to 70 degrees two-theta:
| 2θ (°) | intensity |
| --- | --- |
| 30.60 | 952 |
| 31.44 | 1000 |
| 32.84 | 878 |
| 41.63 | 169 |
| 45.93 | 118 |
| 48.31 | 167 |
| 52.89 | 114 |
| 54.02 | 277 |
| 56.72 | 224 |
| 58.27 | 304 |

Atomic structure:
```
data_Pm5Cd
_chemical_formula_sum 'Pm5 Cd1'
_symmetry_space_group_name_H-M 'P 1'
_symmetry_Int_Tables_number 1
_symmetry_space_group_name_Hall 'P 1'
_cell_length_a 6.5851
_cell_length_b 6.5851
_cell_length_c 8.6774
_cell_angle_alpha 109.17
_cell_angle_beta 109.17
_cell_angle_gamma 33.25
loop_
_atom_site_label
_atom_site_type_symbol
_atom_site_fract_x
_atom_site_fract_y
_atom_site_fract_z
Pm1 Pm 0.0000 0.0000 0.0000
Pm2 Pm 0.0044 0.0044 0.5843
Pm3 Pm 0.3002 0.3002 0.6980
Pm4 Pm 0.3339 0.3339 0.2114
Pm5 Pm 0.6353 0.6353 0.3500
Cd1 Cd 0.6820 0.6820 0.9014
```

=====

(3)
Diffraction record for PmCd6. The powder X-ray diffraction pattern is calculated, not measured: it uses a GGA-PBE-relaxed structure and Cu Ka.
Neutral-atom scattering factors, no anomalous dispersion.

Largest 10 diffraction maxima, by angle, 5 to 70 degrees two-theta:
| 2θ (°) | intensity |
| --- | --- |
| 28.33 | 268 |
| 29.26 | 161 |
| 30.71 | 1000 |
| 34.08 | 522 |
| 35.96 | 697 |
| 38.22 | 601 |
| 41.60 | 305 |
| 41.73 | 207 |
| 51.09 | 177 |
| 62.74 | 331 |

Atomic structure:
```
data_PmCd6
_chemical_formula_sum 'Pm2 Cd12'
_symmetry_space_group_name_H-M 'P 1'
_symmetry_Int_Tables_number 1
_symmetry_space_group_name_Hall 'P 1'
_cell_length_a 6.1408
_cell_length_b 6.1408
_cell_length_c 9.1571
_cell_angle_alpha 90.00
_cell_angle_beta 90.00
_cell_angle_gamma 90.00
loop_
_atom_site_label
_atom_site_type_symbol
_atom_site_fract_x
_atom_site_fract_y
_atom_site_fract_z
Pm1 Pm 0.2500 0.7500 0.0000
Pm2 Pm 0.7500 0.2500 0.0000
Cd1 Cd 0.0767 0.5767 0.3584
Cd2 Cd 0.0767 0.9233 0.6416
Cd3 Cd 0.2500 0.2500 0.1534
Cd4 Cd 0.2500 0.2500 0.8466
Cd5 Cd 0.4233 0.5767 0.6416
Cd6 Cd 0.4233 0.9233 0.3584
Cd7 Cd 0.5767 0.0767 0.6416
Cd8 Cd 0.5767 0.4233 0.3584
Cd9 Cd 0.7500 0.7500 0.1534
Cd10 Cd 0.7500 0.7500 0.8466
Cd11 Cd 0.9233 0.0767 0.3584
Cd12 Cd 0.9233 0.4233 0.6416
```

=====

(4)
Diffraction record for Pm2Pr3Cd2. The powder X-ray diffraction pattern is calculated, not measured: it uses a GGA-PBE-relaxed structure and Cu Ka.
Neutral-atom scattering factors, no anomalous dispersion.

Largest 10 diffraction maxima, by angle, 5 to 70 degrees two-theta:
| 2θ (°) | intensity |
| --- | --- |
| 25.79 | 78 |
| 31.42 | 905 |
| 32.01 | 1000 |
| 34.51 | 44 |
| 45.47 | 324 |
| 55.55 | 180 |
| 56.68 | 334 |
| 57.06 | 190 |
| 65.57 | 68 |
| 66.94 | 117 |

Atomic structure:
```
data_Pm2Pr3Cd2
_chemical_formula_sum 'Pm2 Pr3 Cd2'
_symmetry_space_group_name_H-M 'P 1'
_symmetry_Int_Tables_number 1
_symmetry_space_group_name_Hall 'P 1'
_cell_length_a 5.5927
_cell_length_b 5.5927
_cell_length_c 8.8209
_cell_angle_alpha 108.41
_cell_angle_beta 108.41
_cell_angle_gamma 59.96
loop_
_atom_site_label
_atom_site_type_symbol
_atom_site_fract_x
_atom_site_fract_y
_atom_site_fract_z
Pm1 Pm 0.0744 0.0744 0.2236
Pm2 Pm 0.9256 0.9256 0.7764
Pr1 Pr 0.3418 0.3418 0.0253
Pr2 Pr 0.5000 0.5000 0.5000
Pr3 Pr 0.6582 0.6582 0.9747
Cd1 Cd 0.2106 0.2106 0.6319
Cd2 Cd 0.7894 0.7894 0.3681
```

=====

(5)
Diffraction record for Pm2Pr3Cd3. The powder X-ray diffraction pattern is calculated, not measured: it uses a GGA-PBE-relaxed structure and Cu Ka.
Neutral-atom scattering factors, no anomalous dispersion.

Largest 10 diffraction maxima, by angle, 5 to 70 degrees two-theta:
| 2θ (°) | intensity |
| --- | --- |
| 31.42 | 233 |
| 32.14 | 265 |
| 32.29 | 1000 |
| 45.56 | 165 |
| 47.05 | 91 |
| 56.49 | 136 |
| 57.39 | 190 |
| 57.68 | 81 |
| 58.12 | 96 |
| 67.58 | 108 |

Atomic structure:
```
data_Pm2Pr3Cd3
_chemical_formula_sum 'Pm2 Pr3 Cd3'
_symmetry_space_group_name_H-M 'P 1'
_symmetry_Int_Tables_number 1
_symmetry_space_group_name_Hall 'P 1'
_cell_length_a 11.8815
_cell_length_b 11.8815
_cell_length_c 11.8815
_cell_angle_alpha 161.29
_cell_angle_beta 152.89
_cell_angle_gamma 33.15
loop_
_atom_site_label
_atom_site_type_symbol
_atom_site_fract_x
_atom_site_fract_y
_atom_site_fract_z
Pm1 Pm 0.2346 0.2346 0.0000
Pm2 Pm 0.7654 0.7654 0.0000
Pr1 Pr 0.0000 0.0000 0.0000
Pr2 Pr 0.3778 0.8778 0.5000
Pr3 Pr 0.6222 0.1222 0.5000
Cd1 Cd 0.1192 0.6192 0.5000
Cd2 Cd 0.5000 0.5000 0.0000
Cd3 Cd 0.8808 0.3808 0.5000
```

=====

(6)
Diffraction record for PmPr2Cd3. The powder X-ray diffraction pattern is calculated, not measured: it uses a GGA-PBE-relaxed structure and Cu Ka.
Neutral-atom scattering factors, no anomalous dispersion.

Largest 10 diffraction maxima, by angle, 5 to 70 degrees two-theta:
| 2θ (°) | intensity |
| --- | --- |
| 22.87 | 8 |
| 23.05 | 14 |
| 32.70 | 1000 |
| 32.83 | 496 |
| 46.72 | 90 |
| 47.11 | 179 |
| 58.28 | 184 |
| 58.53 | 367 |
| 68.53 | 112 |
| 68.83 | 57 |

Atomic structure:
```
data_PmPr2Cd3
_chemical_formula_sum 'Pm1 Pr2 Cd3'
_symmetry_space_group_name_H-M 'P 1'
_symmetry_Int_Tables_number 1
_symmetry_space_group_name_Hall 'P 1'
_cell_length_a 3.8579
_cell_length_b 3.8579
_cell_length_c 11.6650
_cell_angle_alpha 90.00
_cell_angle_beta 90.00
_cell_angle_gamma 90.00
loop_
_atom_site_label
_atom_site_type_symbol
_atom_site_fract_x
_atom_site_fract_y
_atom_site_fract_z
Pm1 Pm 0.0000 0.0000 0.0000
Pr1 Pr 0.0000 0.0000 0.3314
Pr2 Pr 0.0000 0.0000 0.6686
Cd1 Cd 0.5000 0.5000 0.1614
Cd2 Cd 0.5000 0.5000 0.5000
Cd3 Cd 0.5000 0.5000 0.8386
```

=====

(7)
Diffraction record for PmPr6Cd. The powder X-ray diffraction pattern is calculated, not measured: it uses a GGA-PBE-relaxed structure and Cu Ka.
Neutral-atom scattering factors, no anomalous dispersion.

Largest 10 diffraction maxima, by angle, 5 to 70 degrees two-theta:
| 2θ (°) | intensity |
| --- | --- |
| 26.40 | 215 |
| 27.56 | 364 |
| 29.44 | 1000 |
| 31.90 | 350 |
| 32.29 | 504 |
| 33.26 | 852 |
| 37.08 | 179 |
| 47.97 | 188 |
| 49.65 | 219 |
| 57.83 | 181 |

Atomic structure:
```
data_PmPr6Cd
_chemical_formula_sum 'Pm1 Pr6 Cd1'
_symmetry_space_group_name_H-M 'P 1'
_symmetry_Int_Tables_number 1
_symmetry_space_group_name_Hall 'P 1'
_cell_length_a 6.5475
_cell_length_b 6.5475
_cell_length_c 6.5475
_cell_angle_alpha 95.81
_cell_angle_beta 95.81
_cell_angle_gamma 95.81
loop_
_atom_site_label
_atom_site_type_symbol
_atom_site_fract_x
_atom_site_fract_y
_atom_site_fract_z
Pm1 Pm 0.0000 0.0000 0.0000
Pr1 Pr 0.0465 0.5494 0.2623
Pr2 Pr 0.2623 0.0465 0.5494
Pr3 Pr 0.4506 0.7377 0.9535
Pr4 Pr 0.5494 0.2623 0.0465
Pr5 Pr 0.7377 0.9535 0.4506
Pr6 Pr 0.9535 0.4506 0.7377
Cd1 Cd 0.5000 0.5000 0.5000
```

=====

(8)
Diffraction record for Pm3Pr2Cd3. The powder X-ray diffraction pattern is calculated, not measured: it uses a GGA-PBE-relaxed structure and Cu Ka.
Neutral-atom scattering factors, no anomalous dispersion.

Largest 10 diffraction maxima, by angle, 5 to 70 degrees two-theta:
| 2θ (°) | intensity |
| --- | --- |
| 31.45 | 221 |
| 32.38 | 1000 |
| 32.51 | 264 |
| 45.86 | 154 |
| 47.03 | 93 |
| 56.59 | 116 |
| 57.67 | 82 |
| 57.92 | 193 |
| 58.33 | 97 |
| 67.79 | 94 |

Atomic structure:
```
data_Pm3Pr2Cd3
_chemical_formula_sum 'Pm3 Pr2 Cd3'
_symmetry_space_group_name_H-M 'P 1'
_symmetry_Int_Tables_number 1
_symmetry_space_group_name_Hall 'P 1'
_cell_length_a 11.8638
_cell_length_b 11.8638
_cell_length_c 11.8638
_cell_angle_alpha 161.25
_cell_angle_beta 153.15
_cell_angle_gamma 32.95
loop_
_atom_site_label
_atom_site_type_symbol
_atom_site_fract_x
_atom_site_fract_y
_atom_site_fract_z
Pm1 Pm 0.0000 0.0000 0.0000
Pm2 Pm 0.3796 0.8796 0.5000
Pm3 Pm 0.6204 0.1204 0.5000
Pr1 Pr 0.2329 0.2329 0.0000
Pr2 Pr 0.7671 0.7671 0.0000
Cd1 Cd 0.1154 0.6154 0.5000
Cd2 Cd 0.5000 0.5000 0.0000
Cd3 Cd 0.8846 0.3846 0.5000
```

=====

(9)
Diffraction record for Pm3Pr4Cd4. The powder X-ray diffraction pattern is calculated, not measured: it uses a GGA-PBE-relaxed structure and Cu Ka.
Neutral-atom scattering factors, no anomalous dispersion.

Largest 10 diffraction maxima, by angle, 5 to 70 degrees two-theta:
| 2θ (°) | intensity |
| --- | --- |
| 28.14 | 1000 |
| 28.57 | 278 |
| 29.66 | 879 |
| 31.97 | 595 |
| 35.74 | 797 |
| 38.24 | 244 |
| 38.62 | 308 |
| 51.44 | 222 |
| 52.21 | 149 |
| 62.16 | 170 |

Atomic structure:
```
data_Pm3Pr4Cd4
_chemical_formula_sum 'Pm3 Pr4 Cd4'
_symmetry_space_group_name_H-M 'P 1'
_symmetry_Int_Tables_number 1
_symmetry_space_group_name_Hall 'P 1'
_cell_length_a 9.7364
_cell_length_b 9.7364
_cell_length_c 9.7364
_cell_angle_alpha 150.08
_cell_angle_beta 128.74
_cell_angle_gamma 60.50
loop_
_atom_site_label
_atom_site_type_symbol
_atom_site_fract_x
_atom_site_fract_y
_atom_site_fract_z
Pm1 Pm 0.0000 0.0000 0.0000
Pm2 Pm 0.3857 0.8857 0.5000
Pm3 Pm 0.6143 0.1143 0.5000
Pr1 Pr 0.0351 0.3312 0.7039
Pr2 Pr 0.3727 0.6688 0.7039
Pr3 Pr 0.6273 0.3312 0.2961
Pr4 Pr 0.9649 0.6688 0.2961
Cd1 Cd 0.2180 0.2180 0.0000
Cd2 Cd 0.3293 0.5000 0.8293
Cd3 Cd 0.6707 0.5000 0.1707
Cd4 Cd 0.7820 0.7820 0.0000
```

=====

(10)
Diffraction record for PmPr3Cd3. The powder X-ray diffraction pattern is calculated, not measured: it uses a GGA-PBE-relaxed structure and Cu Ka.
Neutral-atom scattering factors, no anomalous dispersion.

Largest 10 diffraction maxima, by angle, 5 to 70 degrees two-theta:
| 2θ (°) | intensity |
| --- | --- |
| 22.94 | 79 |
| 32.48 | 276 |
| 32.85 | 263 |
| 33.65 | 1000 |
| 46.87 | 192 |
| 49.76 | 82 |
| 58.70 | 196 |
| 59.16 | 184 |
| 60.69 | 91 |
| 60.91 | 86 |

Atomic structure:
```
data_PmPr3Cd3
_chemical_formula_sum 'Pm2 Pr6 Cd6'
_symmetry_space_group_name_H-M 'P 1'
_symmetry_Int_Tables_number 1
_symmetry_space_group_name_Hall 'P 1'
_cell_length_a 7.7542
_cell_length_b 7.7542
_cell_length_c 7.3301
_cell_angle_alpha 90.00
_cell_angle_beta 90.00
_cell_angle_gamma 90.63
loop_
_atom_site_label
_atom_site_type_symbol
_atom_site_fract_x
_atom_site_fract_y
_atom_site_fract_z
Pm1 Pm 0.2459 0.7541 0.0000
Pm2 Pm 0.7541 0.2459 0.0000
Pr1 Pr 0.2383 0.2383 0.0000
Pr2 Pr 0.2409 0.2409 0.5000
Pr3 Pr 0.2452 0.7548 0.5000
Pr4 Pr 0.7548 0.2452 0.5000
Pr5 Pr 0.7591 0.7591 0.5000
Pr6 Pr 0.7617 0.7617 0.0000
Cd1 Cd 0.0000 0.5000 0.2468
Cd2 Cd 0.0000 0.5000 0.7532
Cd3 Cd 0.5000 0.0000 0.2468
Cd4 Cd 0.5000 0.0000 0.7532
Cd5 Cd 0.5000 0.5000 0.2450
Cd6 Cd 0.5000 0.5000 0.7550
```

=====

(11)
Diffraction record for Pm3PrCd8. The powder X-ray diffraction pattern is calculated, not measured: it uses a GGA-PBE-relaxed structure and Cu Ka.
Neutral-atom scattering factors, no anomalous dispersion.

Largest 10 diffraction maxima, by angle, 5 to 70 degrees two-theta:
| 2θ (°) | intensity |
| --- | --- |
| 29.37 | 341 |
| 33.03 | 637 |
| 35.04 | 1000 |
| 35.37 | 736 |
| 37.92 | 163 |
| 39.11 | 117 |
| 54.45 | 274 |
| 55.83 | 257 |
| 60.08 | 299 |
| 60.92 | 272 |

Atomic structure:
```
data_Pm3PrCd8
_chemical_formula_sum 'Pm3 Pr1 Cd8'
_symmetry_space_group_name_H-M 'P 1'
_symmetry_Int_Tables_number 1
_symmetry_space_group_name_Hall 'P 1'
_cell_length_a 6.0829
_cell_length_b 6.0829
_cell_length_c 9.4904
_cell_angle_alpha 90.00
_cell_angle_beta 90.00
_cell_angle_gamma 120.00
loop_
_atom_site_label
_atom_site_type_symbol
_atom_site_fract_x
_atom_site_fract_y
_atom_site_fract_z
Pm1 Pm 0.0000 0.0000 0.0000
Pm2 Pm 0.0000 0.0000 0.3835
Pm3 Pm 0.3333 0.6667 0.8849
Pr1 Pr 0.3333 0.6667 0.5005
Cd1 Cd 0.0070 0.5035 0.1909
Cd2 Cd 0.3258 0.1629 0.6928
Cd3 Cd 0.4965 0.5035 0.1909
Cd4 Cd 0.4965 0.9930 0.1909
Cd5 Cd 0.6667 0.3333 0.4421
Cd6 Cd 0.6667 0.3333 0.9418
Cd7 Cd 0.8371 0.1629 0.6928
Cd8 Cd 0.8371 0.6742 0.6928
```